(1)
Starting from a crystal structure in Alexandria, relaxed with PBE+U, the X-ray powder pattern of Li3Co2Si2O8 was simulated for copper Kα.
Neutral-atom scattering factors, no anomalous dispersion.

Structural model:
abc: 5.019 5.532 6.136
angles: 90.77 90.13 90.92
Space group P1 (No. 1)
Symmetry-distinct sites (fractional):
Li 0.000 0.000 0.000 (multiplicity 1)
Li 0.002 0.005 0.503 (multiplicity 1)
Li 0.486 0.329 0.994 (multiplicity 1)
Co 0.502 0.824 0.254 (multiplicity 1)
Co 0.980 0.501 0.740 (multiplicity 1)
Si 0.484 0.821 0.754 (multiplicity 1)
Si 0.994 0.494 0.244 (multiplicity 1)
O 0.062 0.345 0.462 (multiplicity 1)
O 0.092 0.347 0.025 (multiplicity 1)
O 0.122 0.779 0.250 (multiplicity 1)
O 0.157 0.833 0.751 (multiplicity 1)
O 0.588 0.977 0.979 (multiplicity 1)
O 0.594 0.547 0.769 (multiplicity 1)
O 0.602 0.947 0.528 (multiplicity 1)
O 0.666 0.528 0.225 (multiplicity 1)

Principal peaks in the range 2θ = 10–90°, sorted by position:
2θ 16.03, intensity 100.0, (0 1 0); 2θ 23.75, intensity 80.1, (1 -1 0); 2θ 24.14, intensity 90.4, (1 1 0); 2θ 29.11, intensity 53.8, (0 0 2); 2θ 32.38, intensity 29.7, (0 2 0); 2θ 33.20, intensity 41.7, (0 1 -2); 2θ 33.60, intensity 32.5, (0 1 2); 2θ 35.79, intensity 65.0, (2 0 0); 2θ 38.01, intensity 23.2, (-1 1 2); 2θ 49.45, intensity 22.6, (0 3 0); 2θ 58.02, intensity 19.5, (0 3 -2); 2θ 58.78, intensity 20.5, (0 3 2)

=====

(2)
Starting from a crystal structure in Alexandria, relaxed with PBE+U, the X-ray powder pattern of KMn2CuF8 was simulated for copper Kα.
Neutral-atom scattering factors, no anomalous dispersion.

Structural model:
abc: 5.058 5.070 6.758
angles: 88.10 88.10 84.69
Space group P-1 (No. 2)
Symmetry-distinct sites (fractional):
K 0.000 0.000 0.000 (multiplicity 1)
Mn 0.498 0.498 0.262 (multiplicity 2)
Cu 0.000 0.000 0.500 (multiplicity 1)
F 0.208 0.784 0.702 (multiplicity 2)
F 0.218 0.794 0.298 (multiplicity 2)
F 0.312 0.314 0.483 (multiplicity 2)
F 0.338 0.340 0.978 (multiplicity 2)

Principal peaks in the range 2θ = 10–90°, sorted by position:
2θ 13.11, intensity 20.9, (0 0 1); 2θ 23.80, intensity 100.0, (1 1 0); 2θ 26.12, intensity 63.6, (1 -1 0); 2θ 31.45, intensity 51.0, (1 0 2); 2θ 32.36, intensity 31.0, (1 0 -2); 2θ 46.22, intensity 18.4, (1 2 2); 2θ 46.27, intensity 17.7, (2 1 2); 2θ 48.19, intensity 16.3, (1 2 -2); 2θ 49.55, intensity 21.9, (2 -1 2); 2θ 50.18, intensity 16.1, (-2 1 2); 2θ 53.75, intensity 17.0, (2 -2 0); 2θ 61.27, intensity 17.2, (-1 1 4)